# 1
Structure and computed X-ray powder pattern of AcNd4DyHo2 (the PBE geometry in Alexandria; a wavelength of 1.5418 Å).

Largest 6 diffraction maxima, low angle first, 15° ≤ 2θ ≤ 90°:
(2 0 0), 29.73°, d 3.005, rel. 58.6
(1 1 2), 31.29°, d 2.859, rel. 100.0
(2 2 0), 42.54°, d 2.125, rel. 22.3
(3 1 2), 53.75°, d 1.705, rel. 44.0
(2 0 4), 56.65°, d 1.625, rel. 17.4
(2 2 4), 65.28°, d 1.429, rel. 11.4

Structural model:
Cell: 6.003 6.018 7.726 Å, 90.00 90.00 90.00°
Space group Pmmm (No. 47)
One atom of each set of equivalent atoms:
Ac (0.000, 0.000, 0.000) x1
Nd (0.000, 0.500, 0.269) x2
Nd (0.500, 0.000, 0.269) x2
Dy (0.500, 0.500, 0.500) x1
Ho (0.000, 0.000, 0.500) x1
Ho (0.500, 0.500, 0.000) x1



# 2
Structure and computed X-ray powder pattern of Ac2NdDyHo (the PBE geometry in Alexandria; a wavelength of 1.5418 Å).

Largest 6 diffraction maxima, low angle first, 15° ≤ 2θ ≤ 90°:
(1 2 1), 27.56°, d 3.236, rel. 100.0
(2 0 0), 27.67°, d 3.224, rel. 25.9
(0 1 2), 28.48°, d 3.134, rel. 30.9
(2 1 1), 32.39°, d 2.764, rel. 21.4
(1 3 1), 35.55°, d 2.526, rel. 27.2
(2 0 2), 38.81°, d 2.320, rel. 21.5

Structural model:
Cell: 6.448 9.031 6.684 Å, 90.00 90.00 90.00°
Space group Pmma (No. 51)
One atom of each set of equivalent atoms:
Ac (0.250, 0.202, 0.212) x4
Nd (0.250, 0.500, 0.921) x2
Dy (0.250, 0.000, 0.684) x2
Ho (0.000, 0.500, 0.500) x2



# 3
Structure and computed X-ray powder pattern of AcPmDy5Ho2 (the PBE geometry in Alexandria; a wavelength of 1.5418 Å).

Largest 6 diffraction maxima, low angle first, 15° ≤ 2θ ≤ 90°:
(2 2 0), 28.13°, d 3.173, rel. 48.6
(2 1 3), 28.41°, d 3.142, rel. 45.0
(2 0 4), 30.90°, d 2.894, rel. 100.0
(3 1 0), 31.53°, d 2.838, rel. 21.8
(2 1 5), 37.18°, d 2.418, rel. 21.5
(4 0 2), 41.96°, d 2.153, rel. 25.9

Structural model:
Cell: 8.973 8.973 15.150 Å, 90.00 90.00 90.00°
Space group I4/mcm (No. 140)
One atom of each set of equivalent atoms:
Ac (0.000, 0.000, 0.250) x4
Pm (0.000, 0.500, 0.250) x4
Dy (0.000, 0.000, 0.000) x4
Dy (0.200, 0.300, 0.126) x16
Ho (0.114, 0.386, 0.500) x8



# 4
Structure and computed X-ray powder pattern of AcPmDyHo3 (the PBE geometry in Alexandria; a wavelength of 1.5418 Å).

Largest 6 diffraction maxima, low angle first, 15° ≤ 2θ ≤ 90°:
(5 1 -1), 30.09°, d 2.970, rel. 100.0
(5 1 1), 30.54°, d 2.927, rel. 38.7
(3 1 -2), 31.18°, d 2.869, rel. 36.8
(0 2 0), 31.58°, d 2.833, rel. 82.5
(3 1 2), 31.72°, d 2.821, rel. 75.2
(7 1 0), 36.16°, d 2.484, rel. 46.3

Structural model:
Cell: 19.360 5.666 7.650 Å, 90.00 91.47 90.00°
Space group C2/m (No. 12)
One atom of each set of equivalent atoms:
Ac (0.140, 0.000, 0.025) x4
Pm (0.049, 0.500, 0.289) x4
Dy (0.154, 0.000, 0.450) x4
Ho (0.025, 0.000, 0.702) x4
Ho (0.165, 0.500, 0.713) x4
Ho (0.220, 0.500, 0.248) x4



# 5
Structure and computed X-ray powder pattern of Ac2Pr5DyHo (the PBE geometry in Alexandria; a wavelength of 1.5418 Å).

Largest 6 diffraction maxima, low angle first, 15° ≤ 2θ ≤ 90°:
(1 3 2), 25.96°, d 3.432, rel. 23.5
(1 5 2), 30.42°, d 2.938, rel. 100.0
(2 0 0), 31.66°, d 2.826, rel. 32.2
(0 0 4), 34.11°, d 2.628, rel. 17.0
(3 5 2), 55.60°, d 1.653, rel. 21.4
(1 13 2), 57.89°, d 1.593, rel. 22.1

Structural model:
Cell: 5.653 22.740 10.514 Å, 90.00 90.00 90.00°
Space group Cmcm (No. 63)
One atom of each set of equivalent atoms:
Ac (0.000, 0.116, 0.012) x8
Pr (0.000, 0.003, 0.750) x4
Pr (0.000, 0.278, 0.061) x8
Pr (0.000, 0.378, 0.750) x4
Pr (0.000, 0.500, 0.000) x4
Dy (0.000, 0.397, 0.250) x4
Ho (0.000, 0.217, 0.750) x4



# 6
Structure and computed X-ray powder pattern of AcPr2DyHo4 (the PBE geometry in Alexandria; a wavelength of 1.5418 Å).

Largest 6 diffraction maxima, low angle first, 15° ≤ 2θ ≤ 90°:
(0 4 0), 26.50°, d 3.364, rel. 44.6
(4 0 0), 29.81°, d 2.998, rel. 100.0
(4 4 0), 40.30°, d 2.238, rel. 87.8
(8 0 -2), 52.90°, d 1.731, rel. 20.2
(8 4 -2), 60.12°, d 1.539, rel. 27.0
(4 8 0), 63.42°, d 1.467, rel. 22.2

Structural model:
Cell: 13.846 13.455 6.921 Å, 90.00 119.98 90.00°
Space group C2/c (No. 15)
One atom of each set of equivalent atoms:
Ac (0.250, 0.250, 0.000) x4
Pr (0.000, 0.000, 0.000) x4
Pr (0.250, 0.250, 0.500) x4
Dy (0.000, 0.500, 0.000) x4
Ho (0.000, 0.256, 0.012) x8
Ho (0.244, 0.492, 0.493) x8



# 7
Structure and computed X-ray powder pattern of AcPr2Dy4Ho (the PBE geometry in Alexandria; a wavelength of 1.5418 Å).

Largest 6 diffraction maxima, low angle first, 15° ≤ 2θ ≤ 90°:
(0 4 0), 26.47°, d 3.367, rel. 44.5
(4 0 0), 29.76°, d 3.002, rel. 100.0
(4 4 0), 40.25°, d 2.241, rel. 87.7
(8 0 -2), 52.82°, d 1.733, rel. 20.2
(8 4 -2), 60.04°, d 1.541, rel. 26.9
(4 8 0), 63.33°, d 1.468, rel. 22.1

Structural model:
Cell: 13.862 13.470 6.933 Å, 90.00 119.99 90.00°
Space group C2/c (No. 15)
One atom of each set of equivalent atoms:
Ac (0.250, 0.250, 0.000) x4
Pr (0.000, 0.000, 0.000) x4
Pr (0.250, 0.250, 0.500) x4
Dy (0.000, 0.257, 0.012) x8
Dy (0.243, 0.492, 0.492) x8
Ho (0.000, 0.500, 0.000) x4



# 8
Structure and computed X-ray powder pattern of AcPrDy2Ho (the PBE geometry in Alexandria; a wavelength of 1.5418 Å).

Largest 6 diffraction maxima, low angle first, 15° ≤ 2θ ≤ 90°:
(1 3 1), 24.61°, d 3.617, rel. 40.3
(0 2 2), 29.20°, d 3.059, rel. 98.3
(2 2 0), 29.40°, d 3.038, rel. 96.5
(1 5 1), 32.04°, d 2.793, rel. 100.0
(2 4 0), 34.40°, d 2.607, rel. 35.6
(2 0 2), 39.21°, d 2.298, rel. 83.7

Structural model:
Cell: 6.474 17.587 6.524 Å, 90.00 90.00 90.00°
Space group Cmcm (No. 63)
One atom of each set of equivalent atoms:
Ac (0.000, 0.158, 0.250) x4
Pr (0.000, 0.347, 0.250) x4
Dy (0.249, 0.000, 0.000) x8
Ho (0.000, 0.235, 0.750) x4